The following is a calculated PXRD pattern of LuSnAuSeS2. It was derived from a structure optimized by DFT (PBE), using copper Kα.
Intensities are scaled so that the largest is 100.

Peak list (10 most intense, 5° ≤ 2θ ≤ 70°, sorted by position)
2θ/deg  intensity  hkl
21.1  53  0 2 2
28.7  32  1 1 2
29.0  100  1 3 0
30.2  50  0 4 2
34.4  44  0 0 4
38.6  17  0 6 1
42.4  29  1 5 2
44.9  21  2 0 0
45.5  56  1 3 4
57.8  23  2 0 4

Structural model:
Unit cell a=4.034 b=14.345 c=10.436 alpha=90.00 beta=90.00 gamma=90.00
Space group Cmcm (No. 63)
Inequivalent atoms, fractional coordinates:
Lu (0.000, 0.000, 0.000) x4
Sn (0.000, 0.301, 0.250) x4
Au (0.000, 0.354, 0.750) x4
Se (0.000, 0.063, 0.750) x4
S (0.000, 0.374, 0.525) x8

***

The following is a calculated PXRD pattern of AgAsPO. It was derived from a structure optimized by DFT (PBE), using copper Kα.
Intensities are scaled so that the largest is 100.

Peak list (10 most intense, 5° ≤ 2θ ≤ 70°, sorted by position)
2θ/deg  intensity  hkl
26.5  84  0 0 2
29.2  71  1 1 0
30.9  71  0 2 1
32.2  100  1 1 1
39.9  37  1 1 2
49.6  35  0 2 3
50.1  32  1 3 0
50.5  53  1 1 3
57.6  31  1 3 2
59.9  20  2 0 2

Structural model:
Unit cell a=3.477 b=6.408 c=6.723 alpha=90.00 beta=90.00 gamma=90.00
Space group Pmc2_1 (No. 26)
Inequivalent atoms, fractional coordinates:
Ag (0.000, 0.172, 0.000) x2
As (0.500, 0.381, 0.487) x2
P (0.000, 0.178, 0.361) x2
O (0.500, 0.386, 0.841) x2

***

The following is a calculated PXRD pattern of Ta4BeGa. It was derived from a structure optimized by DFT (PBE), using copper Kα.
Intensities are scaled so that the largest is 100.

Peak list (10 most intense, 5° ≤ 2θ ≤ 70°, sorted by position)
2θ/deg  intensity  hkl
20.4  6  1 1 0
29.0  7  2 0 0
32.5  7  2 1 0
35.7  20  0 0 2
37.2  100  2 1 1
41.4  12  1 1 2
46.6  31  3 1 0
60.0  10  4 0 0
64.1  6  3 3 0
65.1  31  2 1 3

Structural model:
Unit cell a=6.164 b=6.164 c=5.033 alpha=90.00 beta=90.00 gamma=90.00
Space group P4/mcc (No. 124)
Inequivalent atoms, fractional coordinates:
Ta (0.143, 0.325, 0.000) x8
Be (0.000, 0.000, 0.250) x2
Ga (0.500, 0.500, 0.250) x2

***

The following is a calculated PXRD pattern of Pa2Al3Pd. It was derived from a structure optimized by DFT (PBE), using copper Kα.
Intensities are scaled so that the largest is 100.

Peak list (10 most intense, 5° ≤ 2θ ≤ 70°, sorted by position)
2θ/deg  intensity  hkl
21.1  63  1 0 1
21.2  16  0 0 2
31.8  100  1 1 0
37.0  80  1 0 3
38.4  80  1 1 2
47.1  16  1 0 4
49.6  22  2 0 3
56.6  20  3 0 0
60.1  40  2 1 3
66.3  18  2 2 0

Structural model:
Unit cell a=5.6365 b=5.6365 c=8.3982 alpha=90.00 beta=90.00 gamma=120.00
Space group P6_3/mmc (No. 194)
Inequivalent atoms, fractional coordinates:
Pa (0.3333, 0.6667, 0.0884) x4
Al (0.1682, 0.3365, 0.7500) x6
Pd (0.0000, 0.0000, 0.0000) x2

***

The following is a calculated PXRD pattern of AlPd2W. It was derived from a structure optimized by DFT (PBE), using copper Kα.
Intensities are scaled so that the largest is 100.

Peak list (8 most intense, 5° ≤ 2θ ≤ 70°, sorted by position)
2θ/deg  intensity  hkl
24.8  16  1 1 1
28.7  17  2 0 0
41.0  100  2 2 0
48.5  8  3 1 1
50.8  5  2 2 2
59.4  17  4 0 0
65.3  3  3 3 1
67.2  6  4 2 0

Structural model:
Unit cell a=6.227 b=6.227 c=6.227 alpha=90.00 beta=90.00 gamma=90.00
Space group F-43m (No. 216)
Inequivalent atoms, fractional coordinates:
Al (0.000, 0.000, 0.000) x4
Pd (0.000, 0.000, 0.500) x4
Pd (0.250, 0.250, 0.750) x4
W (0.250, 0.250, 0.250) x4

***

The following is a calculated PXRD pattern of Pr2Zn15Ag2. It was derived from a structure optimized by DFT (PBE), using copper Kα.
Intensities are scaled so that the largest is 100.

Peak list (10 most intense, 5° ≤ 2θ ≤ 70°, sorted by position)
2θ/deg  intensity  hkl
28.1  18  1 1 3
34.1  56  3 0 0
35.2  45  0 2 4
39.6  85  2 2 0
39.8  100  0 3 3
40.6  67  0 0 6
40.8  27  2 0 5
44.7  47  2 2 3
57.4  17  2 1 7
58.0  29  2 2 6

Structural model:
Unit cell a=9.1050 b=9.1050 c=13.3398 alpha=90.00 beta=90.00 gamma=120.00
Space group R-3m (No. 166, hexagonal axes)
Inequivalent atoms, fractional coordinates:
Pr (0.0000, 0.0000, 0.1591) x6
Zn (0.0000, 0.2928, 0.5000) x18
Zn (0.0000, 0.5000, 0.0000) x9
Zn (0.0080, 0.5040, 0.6532) x18
Ag (0.0000, 0.0000, 0.3946) x6

***

The following is a calculated PXRD pattern of Li8Tl2Cd. It was derived from a structure optimized by DFT (PBE), using copper Kα.
Intensities are scaled so that the largest is 100.

Peak list (10 most intense, 5° ≤ 2θ ≤ 70°, sorted by position)
2θ/deg  intensity  hkl
8.5  23  0 0 1
22.4  39  1 1 0
23.0  100  2 0 0
25.0  25  2 0 -2
25.7  31  0 0 3
30.0  31  1 1 2
39.0  70  3 1 -1
39.0  14  0 2 0
45.7  16  2 2 0
47.3  37  3 1 2

Structural model:
Unit cell a=8.003 b=4.618 c=10.743 alpha=90.00 beta=104.49 gamma=90.00
Space group C2/m (No. 12)
Inequivalent atoms, fractional coordinates:
Li (0.090, 0.000, 0.269) x4
Li (0.138, 0.500, 0.915) x4
Li (0.178, 0.000, 0.535) x4
Li (0.231, 0.500, 0.191) x4
Tl (0.049, 0.500, 0.648) x4
Cd (0.000, 0.000, 0.000) x2

***

The following is a calculated PXRD pattern of DyLu3C2Se2. It was derived from a structure optimized by DFT (PBE), using copper Kα.
Intensities are scaled so that the largest is 100.

Peak list (10 most intense, 5° ≤ 2θ ≤ 70°, sorted by position)
2θ/deg  intensity  hkl
27.4  8  0 0 4
27.9  29  1 0 0
28.8  14  0 1 1
34.9  100  0 1 3
41.7  10  0 0 6
49.4  28  1 1 0
50.9  10  1 0 6
57.4  15  0 1 7
61.9  19  2 0 3
66.6  15  1 1 6

Structural model:
Unit cell a=3.6883 b=3.6883 c=13.0066 alpha=90.00 beta=90.00 gamma=120.00
Space group P3m1 (No. 156)
Inequivalent atoms, fractional coordinates:
Dy (0.0000, 0.0000, 0.0000) x1
Lu (0.0000, 0.0000, 0.6961) x1
Lu (0.6667, 0.3333, 0.2012) x1
Lu (0.6667, 0.3333, 0.5005) x1
C (0.3333, 0.6667, 0.1026) x1
C (0.3333, 0.6667, 0.5980) x1
Se (0.0000, 0.0000, 0.3504) x1
Se (0.6667, 0.3333, 0.8443) x1